(1)
# Zr10Al6O
Simulated powder diffraction line list, Cu Ka. Input: a DFT-relaxed cell (GGA-PBE, the Materials Project).

Crystal structure
```
Zr10Al6O
1.0
8.2825 0.0000 0.0000
-4.1412 7.1728 0.0000
0.0000 0.0000 5.5872
Zr Al O
10 6 1
Direct
0.0000 0.2328 0.2480
0.0000 0.7672 0.7520
0.2328 0.0000 0.2480
0.2328 0.2328 0.7520
0.3333 0.6667 0.0000
0.3333 0.6667 0.5000
0.6667 0.3333 0.0000
0.6667 0.3333 0.5000
0.7672 0.0000 0.7520
0.7672 0.7672 0.2480
0.0000 0.3985 0.7465
0.0000 0.6015 0.2535
0.3985 0.0000 0.7465
0.3985 0.3985 0.2535
0.6015 0.0000 0.2535
0.6015 0.6015 0.7465
0.0000 0.0000 0.0000
```

Top 10 peaks for 10 to 90 degrees two-theta, by angle:
two_theta, I (rel.)
24.83, 22
26.80, 24
33.04, 49
34.45, 36
36.85, 100
37.62, 32
38.89, 70
55.22, 24
59.01, 22
60.29, 23

(2)
# TlI
Simulated powder diffraction line list, Cu Ka. Input: a DFT-relaxed cell (GGA-PBE, the Materials Project).

Crystal structure
```
TlI
1.0
4.2876 0.0000 0.0000
0.0000 4.2876 0.0000
0.0000 0.0000 4.2876
Tl I
1 1
Direct
0.0000 0.0000 0.0000
0.5000 0.5000 0.5000
```

Top 10 peaks for 10 to 90 degrees two-theta, by angle:
two_theta, I (rel.)
20.72, 6
29.46, 100
36.29, 2
42.15, 19
47.41, 3
52.26, 41
61.14, 13
69.30, 18
77.05, 4
84.56, 21

(3)
# NaLaScNbO6
Simulated powder diffraction line list, Cu Ka. Input: a DFT-relaxed cell (GGA-PBE, the Materials Project).

Crystal structure
```
NaLaScNbO6
1.0
4.0021 -4.0480 0.0000
4.0021 4.0480 0.0000
-0.0556 0.0000 8.1300
Na La Sc Nb O
2 2 2 2 12
Direct
0.2355 0.7645 0.0000
0.7645 0.2355 0.0000
0.2424 0.7576 0.5000
0.7576 0.2424 0.5000
0.2557 0.2557 0.7531
0.7443 0.7443 0.2469
0.2479 0.2479 0.2367
0.7521 0.7521 0.7633
0.0018 0.4901 0.2787
0.0035 0.0035 0.2047
0.1853 0.1853 0.5002
0.3034 0.3034 0.0083
0.4901 0.0018 0.2787
0.4915 0.4915 0.3189
0.5085 0.5085 0.6811
0.5099 0.9982 0.7213
0.6966 0.6966 0.9917
0.8147 0.8147 0.4998
0.9965 0.9965 0.7952
0.9982 0.5099 0.7213
```

Top 10 peaks for 10 to 90 degrees two-theta, by angle:
two_theta, I (rel.)
10.88, 68
19.04, 18
24.57, 27
31.21, 100
31.45, 97
44.58, 21
44.78, 26
45.32, 22
55.66, 28
65.64, 18

(4)
# Ba2CaGa2CuF14
Simulated powder diffraction line list, Cu Ka. Input: a DFT-relaxed cell (GGA-PBE, the Materials Project).

Crystal structure
```
Ba2CaGa2CuF14
1.0
7.0388 -2.6856 0.0000
7.0388 2.6856 0.0000
-0.5503 0.0000 14.9445
Ba Ca Ga Cu F
4 2 4 2 28
Direct
0.1308 0.2461 0.1198
0.2461 0.1308 0.6198
0.7539 0.8692 0.3802
0.8692 0.7539 0.8802
0.4285 0.5715 0.2500
0.5715 0.4285 0.7500
0.1052 0.1362 0.3756
0.1362 0.1052 0.8756
0.8638 0.8948 0.1244
0.8948 0.8638 0.6244
0.5000 0.5000 0.0000
0.5000 0.5000 0.5000
0.0423 0.6381 0.2224
0.0700 0.9186 0.3440
0.0814 0.9300 0.1560
0.1179 0.7155 0.5192
0.1375 0.5931 0.0470
0.1689 0.5891 0.7049
0.1725 0.3274 0.4083
0.2845 0.8821 0.9808
0.3274 0.1725 0.9083
0.3619 0.9577 0.2776
0.3832 0.5057 0.8845
0.4069 0.8625 0.4530
0.4109 0.8311 0.7951
0.4943 0.6168 0.6155
0.5057 0.3832 0.3845
0.5891 0.1689 0.2049
0.5931 0.1375 0.5470
0.6168 0.4943 0.1155
0.6381 0.0423 0.7224
0.6726 0.8275 0.0917
0.7155 0.1179 0.0192
0.8275 0.6726 0.5917
0.8311 0.4109 0.2951
0.8625 0.4069 0.9530
0.8821 0.2845 0.4808
0.9186 0.0700 0.8440
0.9300 0.0814 0.6560
0.9577 0.3619 0.7776
```

Top 10 peaks for 10 to 90 degrees two-theta, by angle:
two_theta, I (rel.)
23.82, 28
25.21, 100
26.60, 22
27.63, 39
29.62, 33
30.01, 31
33.36, 20
41.41, 23
48.72, 19
54.94, 21

(5)
# Te2Mo2WSe2S2
Simulated powder diffraction line list, Cu Ka. Input: a DFT-relaxed cell (GGA-PBE, the Materials Project).

Crystal structure
```
Te2Mo2WSe2S2
1.0
3.3520 0.0000 0.0000
-1.6760 2.9029 0.0000
0.0000 0.0000 31.0068
Te Mo W Se S
2 2 1 2 2
Direct
0.0000 0.0000 0.0000
0.0000 0.0000 0.1229
0.0000 0.0000 0.8300
0.6667 0.3333 0.5988
0.6667 0.3333 0.0615
0.6667 0.3333 0.7763
0.6667 0.3333 0.8837
0.0000 0.0000 0.5499
0.0000 0.0000 0.6476
```

Top 10 peaks for 10 to 90 degrees two-theta, by angle:
two_theta, I (rel.)
11.42, 100
30.80, 31
30.94, 16
32.95, 18
35.47, 52
37.03, 63
42.67, 26
44.82, 41
54.80, 35
77.32, 13

(6)
# CsAuC2
Simulated powder diffraction line list, Cu Ka. Input: a DFT-relaxed cell (GGA-PBE, the Materials Project).

Crystal structure
```
CsAuC2
1.0
4.8892 0.0000 0.0000
0.0000 4.8892 0.0000
0.0000 0.0000 5.2437
Cs Au C
1 1 2
Direct
0.0000 0.0000 0.0000
0.5000 0.5000 0.5000
0.5000 0.5000 0.1189
0.5000 0.5000 0.8811
```

Top 10 peaks for 10 to 90 degrees two-theta, by angle:
two_theta, I (rel.)
24.90, 100
25.77, 59
34.20, 13
36.76, 23
43.31, 26
44.92, 43
51.08, 16
55.86, 13
68.76, 14
70.74, 12